For LaPmHgRu, the GGA-PBE geometry in Alexandria gives the simulated powder XRD pattern in this record (Cu Kα (weighted mean of Kα1 and Kα2)).
Neutral-atom scattering factors, no anomalous dispersion.

Largest 10 diffraction maxima, by angle, 10 to 80 degrees two-theta:
| d (Å) | 2θ/deg | intensity | hkl |
| --- | --- | --- | --- |
| 3.265 | 27.3 | 12.2 | 1 0 1 |
| 2.652 | 33.8 | 100.0 | 1 0 2 |
| 2.536 | 35.4 | 47.9 | 1 1 0 |
| 1.970 | 46.1 | 8.2 | 0 0 4 |
| 1.824 | 50.0 | 6.8 | 1 1 3 |
| 1.794 | 50.9 | 17.0 | 2 0 0 |
| 1.556 | 59.4 | 15.5 | 1 1 4 |
| 1.486 | 62.5 | 33.9 | 2 1 2 |
| 1.326 | 71.1 | 9.1 | 2 0 4 |
| 1.268 | 74.9 | 5.4 | 2 2 0 |

Crystal structure
a b c (Å): 3.587 3.587 7.878
angles (deg): 90.00 90.00 90.00
Space group P4mm (No. 99)
Inequivalent atoms, fractional coordinates:
La  0.000  0.000  0.000 [1 per cell]
Pm  0.000  0.000  0.562 [1 per cell]
Hg  0.500  0.500  0.294 [1 per cell]
Ru  0.500  0.500  0.776 [1 per cell]